Starting from a PBE+U-relaxed structure, the powder X-ray diffraction pattern of KCr2FeO9 was calculated for Cu Kα (weighted mean of Kα1 and Kα2).

Crystal structure
Cell lengths 7.8632, 5.5351, 9.6940 Å; angles 90.00, 92.33, 90.00 degrees
Sites, in units of the cell vectors:
K: 0.0222 0.2500 0.2170
K: 0.9778 0.7500 0.7830
Cr: 0.2253 0.2500 0.6307
Cr: 0.2936 0.7500 0.0966
Cr: 0.7064 0.2500 0.9034
Cr: 0.7747 0.7500 0.3693
Fe: 0.4860 0.7500 0.7571
Fe: 0.5140 0.2500 0.2429
O: 0.0205 0.2500 0.6301
O: 0.0899 0.7500 0.0580
O: 0.2692 0.2500 0.4514
O: 0.3015 0.5009 0.7072
O: 0.3015 0.9991 0.7072
O: 0.3397 0.9999 0.1901
O: 0.3397 0.5001 0.1901
O: 0.4015 0.7500 0.9529
O: 0.4448 0.2500 0.4371
O: 0.5552 0.7500 0.5629
O: 0.5985 0.2500 0.0471
O: 0.6603 0.0001 0.8099
O: 0.6603 0.4999 0.8099
O: 0.6985 0.0009 0.2928
O: 0.6985 0.4991 0.2928
O: 0.7308 0.7500 0.5486
O: 0.9101 0.2500 0.9420
O: 0.9795 0.7500 0.3699

Largest 10 diffraction maxima, in order of rising 2θ, 5 to 70 degrees two-theta:
d [Å], Rel. int.
7.857, 20.8
4.843, 16.2
4.200, 38.2
4.137, 17.7
4.061, 100.0
3.072, 20.8
3.012, 41.1
2.789, 28.5
2.768, 27.0
2.032, 14.6